Starting from a structure optimized by DFT (GGA-PBE), the X-ray diffraction stick pattern of Ca2GaSi2O7 was computed for Cu Kα (weighted mean of Kα1 and Kα2).
Intensities are scaled so that the largest is 1000.

Cell and atoms:
```
data_Ca2GaSi2O7
_chemical_formula_sum 'Ca4 Ga2 Si4 O14'
_cell_length_a 8.0292
_cell_length_b 8.0292
_cell_length_c 5.0545
_cell_angle_alpha 90.00
_cell_angle_beta 90.00
_cell_angle_gamma 90.00
_space_group_name_H-M_alt 'P -4 21 m'
_space_group_IT_number 113
loop_
_space_group_symop_operation_xyz
'x,y,z'
'y,-x,-z'
'-x,-y,z'
'-y,x,-z'
'x+1/2,-y+1/2,-z'
'y+1/2,x+1/2,z'
'-x+1/2,y+1/2,-z'
'-y+1/2,-x+1/2,z'
loop_
_atom_site_label
_atom_site_type_symbol
_atom_site_fract_x
_atom_site_fract_y
_atom_site_fract_z
Ca1 Ca 0.1662 0.3338 0.0055
Ga1 Ga 0.0000 0.0000 0.5000
Si1 Si 0.1390 0.6390 0.5612
O1 O 0.0000 0.5000 0.6813
O2 O 0.0826 0.8114 0.7192
O3 O 0.1392 0.6392 0.2427
```

The 10 most intense peaks (5 to 70 degrees two-theta), by angle:
5.054 Å, 17.5 deg, I 167, hkl 0 0 1; 3.775 Å, 23.6 deg, I 475, hkl 1 1 1; 3.144 Å, 28.4 deg, I 671, hkl 2 0 1; 2.927 Å, 30.5 deg, I 1000, hkl 2 1 1; 2.839 Å, 31.5 deg, I 161, hkl 2 2 0; 2.539 Å, 35.4 deg, I 448, hkl 3 1 0; 2.475 Å, 36.3 deg, I 151, hkl 2 2 1; 2.067 Å, 43.8 deg, I 146, hkl 2 1 2; 1.795 Å, 50.9 deg, I 181, hkl 4 2 0; 1.791 Å, 51.0 deg, I 474, hkl 3 1 2